Entry 1:
For Ba2CeB2S6, a DFT-relaxed cell (PBE, Alexandria) gives the theoretical PXRD pattern in this record (Cu Kα (weighted mean of Kα1 and Kα2)).
Peak positions follow from Bragg's law for the DFT cell and can differ from measured ones.

The 8 most intense peaks (2θ from 10° to 90°), low angle first:
d (Å)  Rel. int.
5.500  67
3.882  100
3.463  76
3.333  89
2.863  52
2.540  92
2.447  49
2.361  47

Structural model:
Lattice parameters (Å, degrees): 6.6709 6.6709 8.2613 115.69 115.69 58.94
Fractional coordinates of all 11 atoms:
Ba1 0.2100 0.2100 0.2076
Ba2 0.7900 0.7900 0.7924
Ce1 0.0000 0.0000 0.5000
B1 0.4523 0.4523 0.7415
B2 0.5477 0.5477 0.2585
S1 0.2145 0.6958 0.1948
S2 0.2720 0.2720 0.6415
S3 0.3042 0.7855 0.8052
S4 0.6958 0.2145 0.1948
S5 0.7280 0.7280 0.3585
S6 0.7855 0.3042 0.8052


Entry 2:
For Ba2BCl, a DFT-relaxed cell (PBE, Alexandria) gives the theoretical PXRD pattern in this record (Cu Kα (weighted mean of Kα1 and Kα2)).
Peak positions follow from Bragg's law for the DFT cell and can differ from measured ones.

The 8 most intense peaks (2θ from 10° to 90°), low angle first:
d (Å)  Rel. int.
3.871  60
2.737  100
2.235  19
1.935  18
1.731  27
1.580  36
1.290  13
1.224  16

Structural model:
Lattice parameters (Å, degrees): 7.7420 7.7420 7.7420 90.00 90.00 90.00
Fractional coordinates of all 16 atoms:
Ba1 0.2500 0.2500 0.2500
Ba2 0.2500 0.2500 0.7500
Ba3 0.2500 0.7500 0.2500
Ba4 0.2500 0.7500 0.7500
Ba5 0.7500 0.2500 0.2500
Ba6 0.7500 0.2500 0.7500
Ba7 0.7500 0.7500 0.2500
Ba8 0.7500 0.7500 0.7500
B1 0.0000 0.0000 0.0000
B2 0.0000 0.5000 0.5000
B3 0.5000 0.0000 0.5000
B4 0.5000 0.5000 0.0000
Cl1 0.0000 0.0000 0.5000
Cl2 0.0000 0.5000 0.0000
Cl3 0.5000 0.0000 0.0000
Cl4 0.5000 0.5000 0.5000


Entry 3:
For Ba2HoB2ClO6, a DFT-relaxed cell (PBE, Alexandria) gives the theoretical PXRD pattern in this record (Cu Kα (weighted mean of Kα1 and Kα2)).
Peak positions follow from Bragg's law for the DFT cell and can differ from measured ones.

The 8 most intense peaks (2θ from 10° to 90°), low angle first:
d (Å)  Rel. int.
4.107  64
3.788  28
3.438  25
3.178  20
3.104  100
2.671  32
2.570  20
2.109  24

Structural model:
Lattice parameters (Å, degrees): 6.4575 5.3412 11.5027 90.00 95.87 90.00
Fractional coordinates of all 24 atoms:
Ba1 0.0936 0.2500 0.2062
Ba2 0.3428 0.2500 0.5771
Ba3 0.6572 0.7500 0.4229
Ba4 0.9064 0.7500 0.7938
Ho1 0.3476 0.2500 0.9135
Ho2 0.6524 0.7500 0.0865
B1 0.2089 0.7500 0.0718
B2 0.3782 0.7500 0.7269
B3 0.6218 0.2500 0.2731
B4 0.7911 0.2500 0.9282
Cl1 0.1487 0.7500 0.4151
Cl2 0.8513 0.2500 0.5849
O1 0.0066 0.7500 0.0957
O2 0.2950 0.5273 0.7650
O3 0.2950 0.9727 0.7650
O4 0.3235 0.5303 0.0632
O5 0.3235 0.9697 0.0632
O6 0.4768 0.2500 0.3538
O7 0.5232 0.7500 0.6462
O8 0.6765 0.0303 0.9368
O9 0.6765 0.4697 0.9368
O10 0.7050 0.0273 0.2350
O11 0.7050 0.4727 0.2350
O12 0.9934 0.2500 0.9043